RbNaGaAu: simulated powder diffractogram (Cu Kα, 1.54184 Å), based on a DFT-relaxed cell (GGA-PBE, Alexandria).
Intensities are scaled so that the largest is 100.

a = 4.581 Å, b = 4.581 Å, c = 7.866 Å
α = 107.13°, β = 107.13°, γ = 60.01°
Sites, in units of the cell vectors:
Rb  0.000  0.000  0.000
Na  0.188  0.188  0.560
Ga  0.782  0.782  0.343
Au  0.450  0.450  0.347

Most intense lines, 5 to 70 degrees two-theta, by angle:
2θ/deg	I (rel.)
11.96	100
23.82	50
24.06	22
27.64	53
30.22	35
36.44	16
39.34	48
41.26	31
46.54	16
46.68	15